Entry 1:
The following is a calculated XRD peak list of IrN. It was derived from a GGA-PBE-relaxed structure, using Cu Kα (weighted mean of Kα1 and Kα2).

Structural model:
a = 2.7509 Å, b = 2.7509 Å, c = 6.0435 Å
α = 90.00°, β = 90.00°, γ = 90.00°
Fractional coordinates of all 4 atoms:
1 Ir 0.0000 0.5000 0.0000
2 Ir 0.5000 0.0000 0.5000
3 N 0.0000 0.0000 0.2500
4 N 0.0000 0.0000 0.7500

Largest 7 diffraction maxima, low angle first, 5° ≤ 2θ ≤ 70°:
- 2θ 29.56, d = 3.022 Å, intensity 35
- 2θ 35.87, d = 2.504 Å, intensity 100
- 2θ 46.70, d = 1.945 Å, intensity 21
- 2θ 56.24, d = 1.636 Å, intensity 31
- 2θ 56.63, d = 1.625 Å, intensity 27
- 2θ 61.36, d = 1.511 Å, intensity 6
- 2θ 68.18, d = 1.375 Å, intensity 9



Entry 2:
The following is a calculated XRD peak list of AcLa4Pr2. It was derived from a GGA-PBE-relaxed structure, using Cu Kα (weighted mean of Kα1 and Kα2).

Structural model:
a = 12.5313 Å, b = 12.5313 Å, c = 12.5313 Å
α = 162.96°, β = 152.01°, γ = 32.95°
Fractional coordinates of all 7 atoms:
1 Ac 0.0000 0.0000 0.0000
2 La 0.1383 0.6383 0.5000
3 La 0.4113 0.9113 0.5000
4 La 0.5887 0.0887 0.5000
5 La 0.8617 0.3617 0.5000
6 Pr 0.2742 0.2742 0.0000
7 Pr 0.7258 0.7258 0.0000

Largest 12 diffraction maxima, low angle first, 5° ≤ 2θ ≤ 70°:
- 2θ 26.46, d = 3.368 Å, intensity 32
- 2θ 29.48, d = 3.030 Å, intensity 44
- 2θ 29.91, d = 2.987 Å, intensity 67
- 2θ 31.95, d = 2.801 Å, intensity 100
- 2θ 40.02, d = 2.253 Å, intensity 22
- 2θ 48.34, d = 1.883 Å, intensity 23
- 2θ 49.08, d = 1.856 Å, intensity 11
- 2θ 52.56, d = 1.741 Å, intensity 14
- 2θ 53.87, d = 1.702 Å, intensity 23
- 2θ 57.64, d = 1.599 Å, intensity 26
- 2θ 58.29, d = 1.583 Å, intensity 13
- 2θ 58.54, d = 1.577 Å, intensity 20